Diffraction record for Y3Si23. The XRD peak list is theoretical, not measured: it uses a structure optimized by DFT (PBE) and Cu Kα X-rays.

Main lines, in order of rising 2θ (10° ≤ 2θ ≤ 90°):
2θ/deg  I/Imax
12.38  250
30.62  834
31.90  837
33.14  1000
52.77  633
56.05  429

Cell and atoms:
Cell: 10.1150 10.1150 10.1150 Å, 90.00 90.00 90.00°
Fractional coordinates of all 52 atoms:
Y (0.0000, 0.2500, 0.5000)
Y (0.0000, 0.7500, 0.5000)
Y (0.2500, 0.5000, 0.0000)
Y (0.5000, 0.0000, 0.2500)
Y (0.5000, 0.0000, 0.7500)
Y (0.7500, 0.5000, 0.0000)
Si (0.0000, 0.3095, 0.1174)
Si (0.0000, 0.3095, 0.8826)
Si (0.0000, 0.5000, 0.2500)
Si (0.0000, 0.5000, 0.7500)
Si (0.0000, 0.6905, 0.1174)
Si (0.0000, 0.6905, 0.8826)
Si (0.1174, 0.0000, 0.3095)
Si (0.1174, 0.0000, 0.6905)
Si (0.1842, 0.1842, 0.1842)
Si (0.1842, 0.1842, 0.8158)
Si (0.1842, 0.8158, 0.1842)
Si (0.1842, 0.8158, 0.8158)
Si (0.1905, 0.5000, 0.3826)
Si (0.1905, 0.5000, 0.6174)
Si (0.2500, 0.0000, 0.5000)
Si (0.3095, 0.1174, 0.0000)
Si (0.3095, 0.8826, 0.0000)
Si (0.3158, 0.3158, 0.3158)
Si (0.3158, 0.3158, 0.6842)
Si (0.3158, 0.6842, 0.3158)
Si (0.3158, 0.6842, 0.6842)
Si (0.3826, 0.1905, 0.5000)
Si (0.3826, 0.8095, 0.5000)
Si (0.5000, 0.2500, 0.0000)
Si (0.5000, 0.3826, 0.1905)
Si (0.5000, 0.3826, 0.8095)
Si (0.5000, 0.6174, 0.1905)
Si (0.5000, 0.6174, 0.8095)
Si (0.5000, 0.7500, 0.0000)
Si (0.6174, 0.1905, 0.5000)
Si (0.6174, 0.8095, 0.5000)
Si (0.6842, 0.3158, 0.3158)
Si (0.6842, 0.3158, 0.6842)
Si (0.6842, 0.6842, 0.3158)
Si (0.6842, 0.6842, 0.6842)
Si (0.6905, 0.1174, 0.0000)
Si (0.6905, 0.8826, 0.0000)
Si (0.7500, 0.0000, 0.5000)
Si (0.8095, 0.5000, 0.3826)
Si (0.8095, 0.5000, 0.6174)
Si (0.8158, 0.1842, 0.1842)
Si (0.8158, 0.1842, 0.8158)
Si (0.8158, 0.8158, 0.1842)
Si (0.8158, 0.8158, 0.8158)
Si (0.8826, 0.0000, 0.3095)
Si (0.8826, 0.0000, 0.6905)

=====

Diffraction record for Y3Si5. The XRD peak list is theoretical, not measured: it uses a structure optimized by DFT (PBE) and Cu Kα X-rays.

Main lines, in order of rising 2θ (10° ≤ 2θ ≤ 90°):
2θ/deg  I/Imax
23.22  253
29.96  469
34.43  1000
40.44  404
45.40  318
62.40  209

Cell and atoms:
Cell: 10.8148 7.2910 8.9318 Å, 82.95 42.00 55.05°
Fractional coordinates of all 16 atoms:
Y (0.0000, 0.0000, 0.0000)
Y (0.2500, 0.2500, 0.2500)
Y (0.3375, 0.6718, 0.3247)
Y (0.5839, 0.9253, 0.5782)
Y (0.6718, 0.3375, 0.6661)
Y (0.9253, 0.5839, 0.9125)
Si (0.0581, 0.7625, 0.2917)
Si (0.1846, 0.4893, 0.9868)
Si (0.2632, 0.9107, 0.0654)
Si (0.3623, 0.9583, 0.4875)
Si (0.4398, 0.4398, 0.5602)
Si (0.4893, 0.1846, 0.3393)
Si (0.6898, 0.6898, 0.8102)
Si (0.7625, 0.0581, 0.8877)
Si (0.9107, 0.2632, 0.7607)
Si (0.9583, 0.3623, 0.1919)

=====

Diffraction record for Y5Si3. The XRD peak list is theoretical, not measured: it uses a structure optimized by DFT (PBE) and Cu Kα X-rays.

Main lines, in order of rising 2θ (10° ≤ 2θ ≤ 90°):
2θ/deg  I/Imax
32.08  992
34.05  375
35.21  535
35.83  1000
37.63  460
57.19  503

Cell and atoms:
Cell: 8.5892 8.5892 8.5892 Å, 96.86 96.86 139.55°
Fractional coordinates of all 16 atoms:
Y (0.0830, 0.7883, 0.8713)
Y (0.2117, 0.0830, 0.2947)
Y (0.2500, 0.7500, 0.5000)
Y (0.2883, 0.5830, 0.8713)
Y (0.4170, 0.2883, 0.7053)
Y (0.5830, 0.7117, 0.2947)
Y (0.7117, 0.4170, 0.1287)
Y (0.7500, 0.2500, 0.5000)
Y (0.7883, 0.9170, 0.7053)
Y (0.9170, 0.2117, 0.1287)
Si (0.1592, 0.3408, 0.5000)
Si (0.2500, 0.2500, 0.0000)
Si (0.3408, 0.8408, 0.1816)
Si (0.6592, 0.1592, 0.8184)
Si (0.7500, 0.7500, 0.0000)
Si (0.8408, 0.6592, 0.5000)

=====

Diffraction record for YSi. The XRD peak list is theoretical, not measured: it uses a structure optimized by DFT (PBE) and Cu Kα X-rays.

Main lines, in order of rising 2θ (10° ≤ 2θ ≤ 90°):
2θ/deg  I/Imax
28.73  425
32.42  1000
32.93  485
33.96  278
40.64  388
42.19  242

Cell and atoms:
Cell: 5.6981 5.6981 3.8433 Å, 90.00 90.00 135.84°
Fractional coordinates of all 4 atoms:
Y (0.1403, 0.8597, 0.7500)
Y (0.8597, 0.1403, 0.2500)
Si (0.4240, 0.5760, 0.7500)
Si (0.5760, 0.4240, 0.2500)